Entry 1:
MgS: theoretical X-ray diffraction stick pattern (Cu Ka), based on a GGA-PBE-relaxed structure.

Peak list (6 most intense, 5° ≤ 2θ ≤ 70°, sorted by position)
| 2θ (°) | d [Å] | Rel. int. |
| --- | --- | --- |
| 26.36 | 3.381 | 100 |
| 27.30 | 3.267 | 61 |
| 28.94 | 3.085 | 52 |
| 44.85 | 2.021 | 80 |
| 49.28 | 1.849 | 56 |
| 53.31 | 1.719 | 48 |

Cell and atoms:
```
data_MgS
_chemical_formula_sum 'Mg4 S4'
_space_group_name_H-M_alt 'P 1'
_space_group_IT_number 1
_cell_length_a 4.042
_cell_length_b 4.042
_cell_length_c 13.066
_cell_angle_alpha 90.00
_cell_angle_beta 90.00
_cell_angle_gamma 120.00
loop_
_space_group_symop_operation_xyz
'x,y,z'
loop_
_atom_site_label
_atom_site_fract_x
_atom_site_fract_y
_atom_site_fract_z
Mg1 0.000 0.000 0.000
Mg2 0.000 0.000 0.500
Mg3 0.333 0.667 0.249
Mg4 0.667 0.333 0.749
S1 0.000 0.000 0.311
S2 0.000 0.000 0.811
S3 0.333 0.667 0.060
S4 0.667 0.333 0.560
```

Entry 2:
Mg2SbS4: theoretical X-ray diffraction stick pattern (Cu Ka), based on a GGA-PBE-relaxed structure.

Peak list (6 most intense, 5° ≤ 2θ ≤ 70°, sorted by position)
| 2θ (°) | d [Å] | Rel. int. |
| --- | --- | --- |
| 14.70 | 6.027 | 67 |
| 23.11 | 3.849 | 48 |
| 30.01 | 2.978 | 100 |
| 37.84 | 2.378 | 36 |
| 44.18 | 2.050 | 55 |
| 45.13 | 2.009 | 29 |

Cell and atoms:
```
data_Mg2SbS4
_chemical_formula_sum 'Mg4 Sb2 S8'
_space_group_name_H-M_alt 'P 1'
_space_group_IT_number 1
_cell_length_a 7.977
_cell_length_b 7.977
_cell_length_c 7.977
_cell_angle_alpha 129.15
_cell_angle_beta 129.15
_cell_angle_gamma 74.77
loop_
_space_group_symop_operation_xyz
'x,y,z'
loop_
_atom_site_label
_atom_site_fract_x
_atom_site_fract_y
_atom_site_fract_z
Mg1 0.000 0.000 0.000
Mg2 0.500 0.000 0.000
Mg3 0.500 0.000 0.500
Mg4 0.500 0.500 0.500
Sb1 0.125 0.375 0.750
Sb2 0.875 0.625 0.250
S1 0.110 0.329 0.088
S2 0.171 0.758 0.781
S3 0.258 0.978 0.588
S4 0.478 0.390 0.719
S5 0.522 0.610 0.281
S6 0.742 0.022 0.412
S7 0.829 0.242 0.219
S8 0.890 0.671 0.912
```

Entry 3:
MgSb2S4: theoretical X-ray diffraction stick pattern (Cu Ka), based on a GGA-PBE-relaxed structure.

Peak list (6 most intense, 5° ≤ 2θ ≤ 70°, sorted by position)
| 2θ (°) | d [Å] | Rel. int. |
| --- | --- | --- |
| 18.76 | 4.730 | 76 |
| 29.05 | 3.074 | 100 |
| 34.80 | 2.578 | 41 |
| 38.05 | 2.365 | 42 |
| 48.57 | 1.875 | 46 |
| 52.90 | 1.731 | 30 |

Cell and atoms:
```
data_MgSb2S4
_chemical_formula_sum 'Mg1 Sb2 S4'
_space_group_name_H-M_alt 'P 1'
_space_group_IT_number 1
_cell_length_a 6.224
_cell_length_b 6.224
_cell_length_c 6.224
_cell_angle_alpha 114.99
_cell_angle_beta 114.99
_cell_angle_gamma 98.92
loop_
_space_group_symop_operation_xyz
'x,y,z'
loop_
_atom_site_label
_atom_site_fract_x
_atom_site_fract_y
_atom_site_fract_z
Mg1 0.000 0.000 0.000
Sb1 0.250 0.750 0.500
Sb2 0.750 0.250 0.500
S1 0.135 0.647 0.000
S2 0.353 0.353 0.488
S3 0.647 0.135 0.000
S4 0.865 0.865 0.512
```

Entry 4:
MgSb2S6: theoretical X-ray diffraction stick pattern (Cu Ka), based on a GGA-PBE-relaxed structure.

Peak list (6 most intense, 5° ≤ 2θ ≤ 70°, sorted by position)
| 2θ (°) | d [Å] | Rel. int. |
| --- | --- | --- |
| 17.59 | 5.041 | 46 |
| 20.87 | 4.256 | 100 |
| 26.52 | 3.361 | 57 |
| 32.29 | 2.772 | 46 |
| 42.48 | 2.128 | 42 |
| 42.72 | 2.117 | 68 |

Cell and atoms:
```
data_MgSb2S6
_chemical_formula_sum 'Mg2 Sb4 S12'
_space_group_name_H-M_alt 'P 1'
_space_group_IT_number 1
_cell_length_a 5.678
_cell_length_b 6.429
_cell_length_c 10.960
_cell_angle_alpha 90.00
_cell_angle_beta 90.00
_cell_angle_gamma 90.00
loop_
_space_group_symop_operation_xyz
'x,y,z'
loop_
_atom_site_label
_atom_site_fract_x
_atom_site_fract_y
_atom_site_fract_z
Mg1 0.000 0.000 0.000
Mg2 0.500 0.500 0.500
Sb1 0.000 0.500 0.172
Sb2 0.000 0.500 0.828
Sb3 0.500 0.000 0.328
Sb4 0.500 0.000 0.672
S1 0.217 0.316 0.346
S2 0.217 0.316 0.654
S3 0.241 0.332 0.000
S4 0.259 0.832 0.500
S5 0.283 0.816 0.154
S6 0.283 0.816 0.846
S7 0.717 0.184 0.154
S8 0.717 0.184 0.846
S9 0.741 0.168 0.500
S10 0.759 0.668 0.000
S11 0.783 0.684 0.346
S12 0.783 0.684 0.654
```

Entry 5:
MgSc4S5: theoretical X-ray diffraction stick pattern (Cu Ka), based on a GGA-PBE-relaxed structure.

Peak list (6 most intense, 5° ≤ 2θ ≤ 70°, sorted by position)
| 2θ (°) | d [Å] | Rel. int. |
| --- | --- | --- |
| 15.17 | 5.840 | 1 |
| 29.63 | 3.015 | 3 |
| 34.34 | 2.611 | 100 |
| 49.36 | 1.846 | 64 |
| 58.63 | 1.575 | 1 |
| 61.51 | 1.508 | 21 |

Cell and atoms:
```
data_MgSc4S5
_chemical_formula_sum 'Mg1 Sc4 S5'
_space_group_name_H-M_alt 'P 1'
_space_group_IT_number 1
_cell_length_a 6.397
_cell_length_b 6.397
_cell_length_c 6.397
_cell_angle_alpha 99.58
_cell_angle_beta 99.58
_cell_angle_gamma 131.84
loop_
_space_group_symop_operation_xyz
'x,y,z'
loop_
_atom_site_label
_atom_site_fract_x
_atom_site_fract_y
_atom_site_fract_z
Mg1 0.000 0.000 0.000
Sc1 0.197 0.600 0.796
Sc2 0.400 0.197 0.597
Sc3 0.600 0.803 0.403
Sc4 0.803 0.400 0.204
S1 0.098 0.293 0.391
S2 0.293 0.902 0.196
S3 0.500 0.500 0.000
S4 0.707 0.098 0.804
S5 0.902 0.707 0.609
```

Entry 6:
Mg6ScS8: theoretical X-ray diffraction stick pattern (Cu Ka), based on a GGA-PBE-relaxed structure.

Peak list (6 most intense, 5° ≤ 2θ ≤ 70°, sorted by position)
| 2θ (°) | d [Å] | Rel. int. |
| --- | --- | --- |
| 14.70 | 6.028 | 14 |
| 28.35 | 3.148 | 6 |
| 29.64 | 3.014 | 5 |
| 34.36 | 2.610 | 100 |
| 49.38 | 1.846 | 65 |
| 61.53 | 1.507 | 21 |

Cell and atoms:
```
data_Mg6ScS8
_chemical_formula_sum 'Mg6 Sc1 S8'
_space_group_name_H-M_alt 'P 1'
_space_group_IT_number 1
_cell_length_a 7.383
_cell_length_b 7.383
_cell_length_c 7.383
_cell_angle_alpha 60.00
_cell_angle_beta 60.00
_cell_angle_gamma 60.00
loop_
_space_group_symop_operation_xyz
'x,y,z'
loop_
_atom_site_label
_atom_site_fract_x
_atom_site_fract_y
_atom_site_fract_z
Mg1 0.000 0.000 0.500
Mg2 0.000 0.500 0.000
Mg3 0.000 0.500 0.500
Mg4 0.500 0.000 0.000
Mg5 0.500 0.000 0.500
Mg6 0.500 0.500 0.000
Sc1 0.000 0.000 0.000
S1 0.246 0.246 0.754
S2 0.246 0.754 0.246
S3 0.246 0.754 0.754
S4 0.250 0.250 0.250
S5 0.750 0.750 0.750
S6 0.754 0.246 0.246
S7 0.754 0.246 0.754
S8 0.754 0.754 0.246
```

Entry 7:
MgSc3S4: theoretical X-ray diffraction stick pattern (Cu Ka), based on a GGA-PBE-relaxed structure.

Peak list (6 most intense, 5° ≤ 2θ ≤ 70°, sorted by position)
| 2θ (°) | d [Å] | Rel. int. |
| --- | --- | --- |
| 19.01 | 4.668 | 3 |
| 34.25 | 2.618 | 50 |
| 34.39 | 2.607 | 100 |
| 49.32 | 1.848 | 64 |
| 49.43 | 1.844 | 32 |
| 61.51 | 1.508 | 31 |

Cell and atoms:
```
data_MgSc3S4
_chemical_formula_sum 'Mg1 Sc3 S4'
_space_group_name_H-M_alt 'P 1'
_space_group_IT_number 1
_cell_length_a 6.405
_cell_length_b 6.405
_cell_length_c 6.405
_cell_angle_alpha 131.95
_cell_angle_beta 131.95
_cell_angle_gamma 70.30
loop_
_space_group_symop_operation_xyz
'x,y,z'
loop_
_atom_site_label
_atom_site_fract_x
_atom_site_fract_y
_atom_site_fract_z
Mg1 0.000 0.000 0.000
Sc1 0.250 0.750 0.500
Sc2 0.500 0.500 0.000
Sc3 0.750 0.250 0.500
S1 0.000 0.500 0.500
S2 0.243 0.243 0.000
S3 0.500 0.000 0.500
S4 0.757 0.757 0.000
```

Entry 8:
Mg4Se3S: theoretical X-ray diffraction stick pattern (Cu Ka), based on a GGA-PBE-relaxed structure.

Peak list (6 most intense, 5° ≤ 2θ ≤ 70°, sorted by position)
| 2θ (°) | d [Å] | Rel. int. |
| --- | --- | --- |
| 25.95 | 3.434 | 33 |
| 26.08 | 3.417 | 100 |
| 30.16 | 2.963 | 23 |
| 43.10 | 2.099 | 40 |
| 43.27 | 2.091 | 41 |
| 51.17 | 1.785 | 43 |

Cell and atoms:
```
data_Mg4Se3S
_chemical_formula_sum 'Mg4 Se3 S1'
_space_group_name_H-M_alt 'P 1'
_space_group_IT_number 1
_cell_length_a 13.947
_cell_length_b 13.947
_cell_length_c 13.947
_cell_angle_alpha 17.25
_cell_angle_beta 17.25
_cell_angle_gamma 17.25
loop_
_space_group_symop_operation_xyz
'x,y,z'
loop_
_atom_site_label
_atom_site_fract_x
_atom_site_fract_y
_atom_site_fract_z
Mg1 0.000 0.000 0.000
Mg2 0.248 0.248 0.248
Mg3 0.496 0.496 0.496
Mg4 0.744 0.744 0.744
Se1 0.185 0.185 0.185
Se2 0.433 0.433 0.433
Se3 0.937 0.937 0.937
S1 0.684 0.684 0.684
```

Entry 9:
MgSiS: theoretical X-ray diffraction stick pattern (Cu Ka), based on a GGA-PBE-relaxed structure.

Peak list (6 most intense, 5° ≤ 2θ ≤ 70°, sorted by position)
| 2θ (°) | d [Å] | Rel. int. |
| --- | --- | --- |
| 8.12 | 10.886 | 20 |
| 29.44 | 3.034 | 23 |
| 30.35 | 2.945 | 37 |
| 38.68 | 2.328 | 50 |
| 39.41 | 2.287 | 100 |
| 52.79 | 1.734 | 27 |

Cell and atoms:
```
data_MgSiS
_chemical_formula_sum 'Mg2 Si2 S2'
_space_group_name_H-M_alt 'P 1'
_space_group_IT_number 1
_cell_length_a 10.886
_cell_length_b 3.470
_cell_length_c 3.470
_cell_angle_alpha 58.06
_cell_angle_beta 90.00
_cell_angle_gamma 90.00
loop_
_space_group_symop_operation_xyz
'x,y,z'
loop_
_atom_site_label
_atom_site_fract_x
_atom_site_fract_y
_atom_site_fract_z
Mg1 0.188 0.000 0.000
Mg2 0.812 0.000 0.000
Si1 0.000 0.324 0.324
Si2 0.500 0.969 0.969
S1 0.344 0.327 0.327
S2 0.656 0.327 0.327
```

Entry 10:
MgSi2S4: theoretical X-ray diffraction stick pattern (Cu Ka), based on a GGA-PBE-relaxed structure.

Peak list (6 most intense, 5° ≤ 2θ ≤ 70°, sorted by position)
| 2θ (°) | d [Å] | Rel. int. |
| --- | --- | --- |
| 17.89 | 4.957 | 47 |
| 32.09 | 2.789 | 100 |
| 36.25 | 2.478 | 28 |
| 39.11 | 2.303 | 32 |
| 50.89 | 1.794 | 52 |
| 56.15 | 1.638 | 22 |

Cell and atoms:
```
data_MgSi2S4
_chemical_formula_sum 'Mg1 Si2 S4'
_space_group_name_H-M_alt 'P 1'
_space_group_IT_number 1
_cell_length_a 5.823
_cell_length_b 5.823
_cell_length_c 5.823
_cell_angle_alpha 105.98
_cell_angle_beta 105.98
_cell_angle_gamma 116.71
loop_
_space_group_symop_operation_xyz
'x,y,z'
loop_
_atom_site_label
_atom_site_fract_x
_atom_site_fract_y
_atom_site_fract_z
Mg1 0.000 0.000 0.000
Si1 0.250 0.750 0.500
Si2 0.750 0.250 0.500
S1 0.168 0.678 0.846
S2 0.322 0.168 0.490
S3 0.678 0.832 0.510
S4 0.832 0.322 0.154
```

Entry 11:
Sm2MgS3: theoretical X-ray diffraction stick pattern (Cu Ka), based on a GGA-PBE-relaxed structure.

Peak list (6 most intense, 5° ≤ 2θ ≤ 70°, sorted by position)
| 2θ (°) | d [Å] | Rel. int. |
| --- | --- | --- |
| 10.55 | 8.385 | 62 |
| 27.77 | 3.212 | 80 |
| 32.02 | 2.795 | 48 |
| 32.25 | 2.775 | 100 |
| 46.09 | 1.969 | 68 |
| 46.26 | 1.962 | 36 |

Cell and atoms:
```
data_Sm2MgS3
_chemical_formula_sum 'Sm2 Mg1 S3'
_space_group_name_H-M_alt 'P 1'
_space_group_IT_number 1
_cell_length_a 8.832
_cell_length_b 3.925
_cell_length_c 8.832
_cell_angle_alpha 77.16
_cell_angle_beta 25.68
_cell_angle_gamma 77.16
loop_
_space_group_symop_operation_xyz
'x,y,z'
loop_
_atom_site_label
_atom_site_fract_x
_atom_site_fract_y
_atom_site_fract_z
Sm1 0.172 0.828 0.172
Sm2 0.828 0.172 0.828
Mg1 0.496 0.496 0.504
S1 0.000 0.000 0.000
S2 0.345 0.655 0.345
S3 0.655 0.345 0.655
```

Entry 12:
SmMg2W3S8: theoretical X-ray diffraction stick pattern (Cu Ka), based on a GGA-PBE-relaxed structure.

Peak list (6 most intense, 5° ≤ 2θ ≤ 70°, sorted by position)
| 2θ (°) | d [Å] | Rel. int. |
| --- | --- | --- |
| 13.68 | 6.473 | 100 |
| 15.01 | 5.900 | 36 |
| 15.37 | 5.766 | 86 |
| 34.72 | 2.584 | 77 |
| 34.92 | 2.570 | 40 |
| 48.32 | 1.884 | 28 |

Cell and atoms:
```
data_SmMg2W3S8
_chemical_formula_sum 'Sm1 Mg2 W3 S8'
_space_group_name_H-M_alt 'P 1'
_space_group_IT_number 1
_cell_length_a 7.066
_cell_length_b 7.066
_cell_length_c 7.744
_cell_angle_alpha 118.53
_cell_angle_beta 118.53
_cell_angle_gamma 59.05
loop_
_space_group_symop_operation_xyz
'x,y,z'
loop_
_atom_site_label
_atom_site_fract_x
_atom_site_fract_y
_atom_site_fract_z
Sm1 0.000 0.000 0.000
Mg1 0.490 0.490 0.474
Mg2 0.649 0.649 0.946
W1 0.022 0.022 0.511
W2 0.032 0.417 0.498
W3 0.417 0.032 0.498
S1 0.234 0.720 0.706
S2 0.235 0.750 0.263
S3 0.250 0.250 0.772
S4 0.256 0.256 0.263
S5 0.720 0.234 0.706
S6 0.729 0.729 0.706
S7 0.750 0.235 0.263
S8 0.765 0.765 0.327
```